This entry pairs a crystal structure of KBa4AuC4O4 with its theoretical PXRD pattern. Radiation: Cu Kα X-rays. Structure: DFT lattice parameters and positions (PBE).
Lines closer than 0.1° are merged.

Crystal structure
```
data_KBa4AuC4O4
_space_group_name_H-M_alt 'I 4/m m m'
_space_group_IT_number 139
_space_group_name_Hall '-I 4 2'
_cell_length_a 6.161
_cell_length_b 6.161
_cell_length_c 15.499
_cell_angle_alpha 90.00
_cell_angle_beta 90.00
_cell_angle_gamma 90.00
loop_
_atom_site_label
_atom_site_type_symbol
_atom_site_fract_x
_atom_site_fract_y
_atom_site_fract_z
K1 K 0.000 0.000 0.000
Ba1 Ba 0.000 0.500 0.118
Au1 Au 0.000 0.000 0.500
C1 C 0.000 0.000 0.193
C2 C 0.000 0.000 0.275
O1 O 0.230 0.230 0.500
```

The 12 most intense peaks (2θ from 10° to 90°), in order of falling intensity:
- 2θ = 30.88°, intensity 100, (1 1 4)
- 2θ = 28.99°, intensity 54, (2 0 0)
- 2θ = 52.58°, intensity 43, (3 1 4)
- 2θ = 11.42°, intensity 41, (0 0 2)
- 2θ = 41.45°, intensity 27, (2 2 0)
- 2θ = 15.48°, intensity 21, (1 0 1)
- 2θ = 56.08°, intensity 13, (2 0 8)
- 2θ = 20.39°, intensity 13, (1 1 0)
- 2θ = 64.35°, intensity 12, (2 2 8)
- 2θ = 83.88°, intensity 12, (5 1 4)
- 2θ = 40.60°, intensity 11, (1 1 6)
- 2θ = 22.46°, intensity 11, (1 0 3)